This entry pairs a crystal structure of HfCoRhO6 with its calculated PXRD pattern. Radiation: Cu Kα. Structure: a structure optimized by DFT (GGA+U).
Lines closer than 0.1° are merged.

Atomic structure:
Lattice parameters (Å, degrees): 4.6351 4.6351 9.1316 90.00 90.00 90.00
Sites, in units of the cell vectors:
1 Hf 0.0000 0.0000 0.0000
2 Hf 0.5000 0.5000 0.5000
3 Co 0.0000 0.0000 0.3345
4 Co 0.5000 0.5000 0.8345
5 Rh 0.0000 0.0000 0.6717
6 Rh 0.5000 0.5000 0.1717
7 O 0.1841 0.1841 0.4978
8 O 0.1978 0.1978 0.1762
9 O 0.2112 0.2112 0.8356
10 O 0.2888 0.7112 0.3356
11 O 0.3022 0.6978 0.6762
12 O 0.3159 0.6841 0.9978
13 O 0.6841 0.3159 0.9978
14 O 0.6978 0.3022 0.6762
15 O 0.7112 0.2888 0.3356
16 O 0.7888 0.7888 0.8356
17 O 0.8022 0.8022 0.1762
18 O 0.8159 0.8159 0.4978

Largest 8 diffraction maxima, by angle, 15° ≤ 2θ ≤ 90°:
(hkl)	2θ (°)	intensity
1 0 1	21.50	25
1 1 0	27.21	100
1 0 3	35.28	77
2 0 0	38.86	22
2 1 3	53.48	64
2 2 0	56.12	16
3 1 0	63.47	15
3 0 3	68.05	19